[1]
Calculated powder diffractogram of DyTlPd for Cu Kα, from DFT lattice parameters and positions (PBE).
Intensities are scaled so that the largest is 100.

Most intense lines, 10° ≤ 2θ ≤ 90°, sorted by position:
2θ (°), d [Å], I/Imax
32.8, 2.727, 100
33.6, 2.671, 24
34.4, 2.604, 28
35.3, 2.540, 26
35.4, 2.532, 25
39.1, 2.302, 20
39.4, 2.289, 26
48.6, 1.875, 22
63.9, 1.456, 16
64.2, 1.450, 23

Structure:
abc: 13.8103 3.7496 7.9151
angles: 90.00 90.00 90.00
Space group Pmma (No. 51)
Inequivalent atoms, fractional coordinates:
Dy 0.0506 0.0000 0.2223
Dy 0.2500 0.0000 0.8359
Tl 0.1104 0.5000 0.5702
Tl 0.2500 0.5000 0.1784
Pd 0.0936 0.5000 0.9343
Pd 0.2500 0.0000 0.4473


[2]
Calculated powder diffractogram of Pm12Cd2Ge5 for Cu Kα, from DFT lattice parameters and positions (PBE).
Intensities are scaled so that the largest is 100.

Most intense lines, 10° ≤ 2θ ≤ 90°, sorted by position:
2θ (°), d [Å], I/Imax
23.3, 3.817, 29
26.0, 3.421, 44
26.3, 3.392, 44
30.6, 2.920, 53
31.4, 2.852, 84
32.4, 2.761, 100
33.6, 2.664, 25
37.8, 2.379, 50
42.6, 2.123, 28
49.0, 1.859, 26

Structure:
abc: 16.8089 7.4371 9.5774
angles: 90.00 100.11 90.00
Space group C2/m (No. 12)
Inequivalent atoms, fractional coordinates:
Pm 0.0156 0.0000 0.3037
Pm 0.0275 0.5000 0.8088
Pm 0.1482 0.2536 0.5649
Pm 0.1802 0.2493 0.1153
Cd 0.0000 0.1839 0.0000
Ge 0.0000 0.5000 0.5000
Ge 0.1661 0.0000 0.8325
Ge 0.2050 0.0000 0.3609


[3]
Calculated powder diffractogram of PmTlAg for Cu Kα, from DFT lattice parameters and positions (PBE).
Intensities are scaled so that the largest is 100.

Most intense lines, 10° ≤ 2θ ≤ 90°, sorted by position:
2θ (°), d [Å], I/Imax
32.9, 2.719, 100
35.8, 2.506, 86
44.5, 2.035, 12
49.5, 1.843, 32
62.6, 1.485, 32
64.4, 1.447, 16
65.2, 1.431, 30
75.9, 1.253, 10
85.3, 1.138, 14
87.6, 1.114, 14

Structure:
abc: 5.0126 5.0126 3.4875
angles: 90.00 90.00 120.00
Space group P-6m2 (No. 187)
Inequivalent atoms, fractional coordinates:
Pm 0.0000 0.0000 0.0000
Tl 0.6667 0.3333 0.5000
Ag 0.3333 0.6667 0.5000


[4]
Calculated powder diffractogram of Sm2DyYEr5 for Cu Kα, from DFT lattice parameters and positions (PBE).
Intensities are scaled so that the largest is 100.

Most intense lines, 10° ≤ 2θ ≤ 90°, sorted by position:
2θ (°), d [Å], I/Imax
29.0, 3.082, 53
29.3, 3.046, 51
31.1, 2.872, 100
34.9, 2.569, 23
37.4, 2.407, 12
38.1, 2.361, 18
43.7, 2.072, 20
47.2, 1.926, 12
53.2, 1.723, 21
56.5, 1.628, 13

Structure:
abc: 8.6158 8.6158 15.4119
angles: 90.00 90.00 90.00
Space group I4/mcm (No. 140)
Inequivalent atoms, fractional coordinates:
Sm 0.1169 0.3831 0.0000
Dy 0.0000 0.5000 0.2500
Y 0.0000 0.0000 0.2500
Er 0.0000 0.0000 0.0000
Er 0.2102 0.2898 0.3616


[5]
Calculated powder diffractogram of La3HgN2 for Cu Kα, from DFT lattice parameters and positions (PBE).
Intensities are scaled so that the largest is 100.

Most intense lines, 10° ≤ 2θ ≤ 90°, sorted by position:
2θ (°), d [Å], I/Imax
29.0, 3.080, 23
30.1, 2.971, 100
30.3, 2.954, 10
31.8, 2.814, 27
42.5, 2.125, 13
43.6, 2.078, 15
52.1, 1.757, 12
54.1, 1.696, 12
55.6, 1.653, 17
62.5, 1.486, 10

Structure:
abc: 4.2505 12.3217 5.6276
angles: 90.00 90.00 90.00
Space group Pmmn (No. 59, origin choice 2)
Inequivalent atoms, fractional coordinates:
La 0.2500 0.0355 0.2407
La 0.2500 0.2500 0.7584
Hg 0.2500 0.7500 0.7270
N 0.2500 0.0555 0.8048


[6]
Calculated powder diffractogram of Sr3AcIn2 for Cu Kα, from DFT lattice parameters and positions (PBE).
Intensities are scaled so that the largest is 100.

Most intense lines, 10° ≤ 2θ ≤ 90°, sorted by position:
2θ (°), d [Å], I/Imax
25.8, 3.453, 36
27.6, 3.226, 33
27.8, 3.212, 26
28.2, 3.160, 26
28.9, 3.085, 100
30.0, 2.978, 59
32.0, 2.799, 49
32.1, 2.786, 19
42.9, 2.110, 18
55.8, 1.648, 21

Structure:
abc: 5.5988 10.5484 7.8948
angles: 90.00 90.00 90.00
Space group Pmc2_1 (No. 26)
Inequivalent atoms, fractional coordinates:
Sr 0.0000 0.0608 0.0000
Sr 0.0000 0.3151 0.3615
Sr 0.5000 0.1771 0.6948
Ac 0.5000 0.4438 0.0546
In 0.0000 0.3652 0.7993
In 0.5000 0.1445 0.2530


[7]
Calculated powder diffractogram of Sr2NdYSe4 for Cu Kα, from DFT lattice parameters and positions (PBE).
Intensities are scaled so that the largest is 100.

Most intense lines, 10° ≤ 2θ ≤ 90°, sorted by position:
2θ (°), d [Å], I/Imax
29.5, 3.031, 100
41.8, 2.161, 37
42.5, 2.126, 36
51.3, 1.780, 7
52.6, 1.740, 19
61.2, 1.515, 12
68.8, 1.364, 16
69.9, 1.346, 16
77.3, 1.234, 12
77.8, 1.227, 6

Structure:
abc: 7.3633 4.2508 7.5292
angles: 90.00 109.01 90.00
Space group P2/m (No. 10)
Inequivalent atoms, fractional coordinates:
Sr 0.0000 0.0000 0.0000
Sr 0.5000 0.5000 0.0000
Nd 0.0000 0.5000 0.5000
Y 0.5000 0.0000 0.5000
Se 0.2524 0.0000 0.7383
Se 0.2611 0.5000 0.2660


[8]
Calculated powder diffractogram of KCeZr4O12 for Cu Kα, from DFT lattice parameters and positions (PBE).
Intensities are scaled so that the largest is 100.

Most intense lines, 10° ≤ 2θ ≤ 90°, sorted by position:
2θ (°), d [Å], I/Imax
10.7, 8.279, 16
18.7, 4.751, 53
21.5, 4.141, 33
30.5, 2.928, 48
30.8, 2.901, 100
36.0, 2.493, 16
43.7, 2.070, 37
54.5, 1.685, 47
55.0, 1.669, 24
64.2, 1.450, 18

Structure:
abc: 8.2790 8.1289 8.2840
angles: 90.00 90.00 90.00
Space group Amm2 (No. 38)
Inequivalent atoms, fractional coordinates:
K 0.0000 0.0000 0.0000
Ce 0.5000 0.0000 0.5133
Zr 0.2454 0.2472 0.2547
O 0.0000 0.2212 0.7642
O 0.2226 0.0000 0.2135
O 0.2950 0.2119 0.5039
O 0.3233 0.0000 0.7452
O 0.5000 0.1701 0.2789


[9]
Calculated powder diffractogram of Sn2HgAu8 for Cu Kα, from DFT lattice parameters and positions (PBE).
Intensities are scaled so that the largest is 100.

Most intense lines, 10° ≤ 2θ ≤ 90°, sorted by position:
2θ (°), d [Å], I/Imax
29.4, 3.035, 35
29.8, 2.994, 39
34.8, 2.578, 62
35.1, 2.557, 57
38.6, 2.333, 35
38.9, 2.316, 33
39.5, 2.279, 64
40.4, 2.231, 100
41.0, 2.201, 39
47.8, 1.901, 60

Structure:
abc: 3.8024 6.9567 9.2010
angles: 100.29 101.18 90.45
Space group P-1 (No. 2)
Inequivalent atoms, fractional coordinates:
Sn 0.1864 0.2928 0.3544
Hg 0.5000 0.0000 0.0000
Au 0.0234 0.3070 0.0487
Au 0.1955 0.7044 0.4041
Au 0.3309 0.0098 0.6675
Au 0.4193 0.3913 0.8322